This entry pairs a crystal structure of Fe2Cl2F with its calculated powder XRD pattern. Radiation: Cu Kα (λ = 1.5418 Å). Structure: DFT lattice parameters and positions (PBE+U).
Lines closer than 0.1° are merged.

Top 10 peaks for 15° ≤ 2θ ≤ 90°, sorted by position:
21.5°, d 4.137, I = 33; 27.3°, d 3.266, I = 61; 33.3°, d 2.693, I = 90; 34.6°, d 2.594, I = 100; 40.7°, d 2.216, I = 49; 44.6°, d 2.031, I = 29; 47.6°, d 1.910, I = 20; 48.7°, d 1.868, I = 55; 54.5°, d 1.685, I = 38; 65.7°, d 1.421, I = 22

Cell and atoms:
a = 6.406 Å, b = 6.406 Å, c = 6.919 Å
α = 115.37°, β = 115.37°, γ = 47.78°
Fractional positions:
Fe (0.017, 0.017, 0.282)
Fe (0.321, 0.321, 0.905)
Fe (0.679, 0.679, 0.095)
Fe (0.983, 0.983, 0.718)
Cl (0.168, 0.168, 0.101)
Cl (0.471, 0.471, 0.731)
Cl (0.529, 0.529, 0.269)
Cl (0.832, 0.832, 0.899)
F (0.126, 0.126, 0.609)
F (0.874, 0.874, 0.391)